# 1
This entry pairs a crystal structure of CeGa2Co2Pt with its theoretical XRD peak list. Radiation: Cu Kα, 1.54184 Å. Structure: a structure optimized by DFT (PBE).
Lines closer than 0.1° are merged.

Cell and atoms:
```
CeGa2Co2Pt
1.0
4.772 0.000 0.000
0.000 4.772 0.000
0.000 0.000 5.246
Ce Ga Co Pt
1 2 2 1
Cartesian
0.000 0.000 0.000
0.000 2.386 2.623
2.386 0.000 2.623
2.386 2.386 1.377
2.386 2.386 3.869
0.000 0.000 2.623
```

Principal peaks in the range 15° ≤ 2θ ≤ 90°, sorted by position:
2theta, I/Imax
16.90, 43
18.59, 65
26.41, 66
37.70, 98
39.19, 100
51.80, 28
54.38, 33
55.51, 72

***

# 2
This entry pairs a crystal structure of V6W with its theoretical XRD peak list. Radiation: Cu Kα, 1.54184 Å. Structure: a structure optimized by DFT (PBE).
Lines closer than 0.1° are merged.

Cell and atoms:
```
V6W
1.0
4.236 0.000 0.000
0.000 4.236 0.000
0.000 0.000 5.895
V W
6 1
Cartesian
0.000 0.000 0.000
0.000 2.118 1.421
0.000 2.118 4.474
2.118 0.000 1.421
2.118 0.000 4.474
2.118 2.118 2.947
0.000 0.000 2.947
```

Principal peaks in the range 15° ≤ 2θ ≤ 90°, sorted by position:
2theta, I/Imax
15.03, 43
20.97, 47
33.56, 33
37.16, 22
42.69, 52
43.06, 100
61.97, 16
78.43, 31